Theoretical X-ray diffraction stick pattern
Compound: Er2Ge2O7
Radiation: Cu Kα, 1.54184 Å
Structure: a structure optimized by DFT (GGA-PBE)

Peak list (6 most intense, 2θ = 10–90°, in order of falling intensity)
hkl 2 0 0, 2θ = 29.66°, intensity 100.0
hkl 0 0 2, 2θ = 29.07°, intensity 67.8
hkl 1 2 0, 2θ = 30.06°, intensity 55.5
hkl 2 0 2, 2θ = 31.56°, intensity 49.4
hkl 0 2 1, 2θ = 29.96°, intensity 49.1
hkl 1 -2 1, 2θ = 32.35°, intensity 44.6

Structural model:
Cell lengths 6.667, 6.679, 6.800 Å; angles 85.89, 64.74, 85.79 degrees
Space group P1 (No. 1)
Inequivalent atoms, fractional coordinates:
Er  0.000  0.000  0.000 [1 per cell]
Er  0.022  0.688  0.496 [1 per cell]
Er  0.492  0.940  0.500 [1 per cell]
Er  0.564  0.405  0.146 [1 per cell]
Ge  0.002  0.188  0.497 [1 per cell]
Ge  0.114  0.520  0.967 [1 per cell]
Ge  0.531  0.873  0.014 [1 per cell]
Ge  0.549  0.441  0.643 [1 per cell]
O  0.034  0.710  0.146 [1 per cell]
O  0.124  0.012  0.632 [1 per cell]
O  0.175  0.377  0.344 [1 per cell]
O  0.232  0.604  0.688 [1 per cell]
O  0.382  0.970  0.866 [1 per cell]
O  0.387  0.418  0.932 [1 per cell]
O  0.395  0.733  0.266 [1 per cell]
O  0.524  0.276  0.471 [1 per cell]
O  0.618  0.064  0.130 [1 per cell]
O  0.677  0.663  0.518 [1 per cell]
O  0.776  0.725  0.880 [1 per cell]
O  0.784  0.327  0.701 [1 per cell]
O  0.908  0.009  0.379 [1 per cell]
O  0.931  0.328  0.043 [1 per cell]

=====

Theoretical X-ray diffraction stick pattern
Compound: AlCdGe2
Radiation: Cu Kα, 1.54184 Å
Structure: a structure optimized by DFT (GGA-PBE)

Peak list (6 most intense, 2θ = 10–90°, in order of falling intensity)
hkl 2 2 0, 2θ = 37.10°, intensity 100.0
hkl 4 2 2, 2θ = 66.87°, intensity 33.8
hkl 4 0 0, 2θ = 53.47°, intensity 16.9
hkl 2 0 0, 2θ = 26.00°, intensity 11.4
hkl 1 1 1, 2θ = 22.47°, intensity 10.9
hkl 4 4 0, 2θ = 79.02°, intensity 10.5

Structural model:
Cell lengths 6.854, 6.854, 6.854 Å; angles 90.00, 90.00, 90.00 degrees
Space group F-43m (No. 216)
Inequivalent atoms, fractional coordinates:
Al  0.000  0.000  0.000 [4 per cell]
Cd  0.250  0.250  0.250 [4 per cell]
Ge  0.000  0.000  0.500 [4 per cell]
Ge  0.250  0.250  0.750 [4 per cell]

=====

Theoretical X-ray diffraction stick pattern
Compound: Dy3NiSn3IrPd
Radiation: Cu Kα, 1.54184 Å
Structure: a structure optimized by DFT (GGA-PBE)

Peak list (6 most intense, 2θ = 10–90°, in order of falling intensity)
hkl 1 1 1, 2θ = 33.34°, intensity 100.0
hkl 2 0 1, 2θ = 36.14°, intensity 73.1
hkl 1 2 0, 2θ = 36.36°, intensity 50.3
hkl 3 0 0, 2θ = 41.43°, intensity 33.2
hkl 3 2 1, 2θ = 67.02°, intensity 27.0
hkl 1 2 2, 2θ = 61.26°, intensity 22.8

Structural model:
Cell lengths 7.5491, 7.5491, 3.8276 Å; angles 90.00, 90.00, 120.00 degrees
Space group P-6 (No. 174)
Inequivalent atoms, fractional coordinates:
Dy  0.0779  0.7333  0.0000 [3 per cell]
Ni  0.6667  0.3333  0.0000 [1 per cell]
Sn  0.4137  0.0829  0.5000 [3 per cell]
Ir  0.3333  0.6667  0.5000 [1 per cell]
Pd  0.0000  0.0000  0.5000 [1 per cell]

=====

Theoretical X-ray diffraction stick pattern
Compound: YHoAl4Cu2
Radiation: Cu Kα, 1.54184 Å
Structure: a structure optimized by DFT (GGA-PBE)

Peak list (6 most intense, 2θ = 10–90°, in order of falling intensity)
hkl 1 1 3, 2θ = 36.64°, intensity 100.0
hkl 2 1 1, 2θ = 35.11°, intensity 82.3
hkl 1 0 4, 2θ = 37.99°, intensity 46.1
hkl 0 1 1, 2θ = 22.90°, intensity 45.7
hkl 2 0 0, 2θ = 26.26°, intensity 41.4
hkl 0 2 0, 2θ = 43.00°, intensity 28.9

Structural model:
Cell lengths 6.788, 4.207, 10.110 Å; angles 90.00, 90.00, 90.00 degrees
Space group Amm2 (No. 38)
Inequivalent atoms, fractional coordinates:
Y  0.000  0.000  0.000 [2 per cell]
Ho  0.500  0.000  0.858 [2 per cell]
Al  0.197  0.000  0.289 [4 per cell]
Al  0.304  0.000  0.569 [4 per cell]
Cu  0.000  0.000  0.716 [2 per cell]
Cu  0.500  0.000  0.141 [2 per cell]

=====

Theoretical X-ray diffraction stick pattern
Compound: CsTm2CuTeS3
Radiation: Cu Kα, 1.54184 Å
Structure: a structure optimized by DFT (GGA-PBE)

Peak list (6 most intense, 2θ = 10–90°, in order of falling intensity)
hkl 1 3 2, 2θ = 31.29°, intensity 100.0
hkl 0 2 3, 2θ = 22.68°, intensity 65.1
hkl 1 5 3, 2θ = 42.76°, intensity 43.7
hkl 1 3 0, 2θ = 28.49°, intensity 42.5
hkl 1 3 1, 2θ = 29.21°, intensity 41.5
hkl 2 0 0, 2θ = 44.11°, intensity 29.0

Structural model:
Cell lengths 4.106, 14.542, 13.970 Å; angles 90.00, 90.00, 90.00 degrees
Space group Cmcm (No. 63)
Inequivalent atoms, fractional coordinates:
Cs  0.000  0.098  0.250 [4 per cell]
Tm  0.000  0.351  0.068 [8 per cell]
Cu  0.000  0.174  0.750 [4 per cell]
Te  0.000  0.000  0.000 [4 per cell]
S  0.000  0.260  0.606 [8 per cell]
S  0.000  0.407  0.250 [4 per cell]

=====

Theoretical X-ray diffraction stick pattern
Compound: NbC2N2
Radiation: Cu Kα, 1.54184 Å
Structure: a structure optimized by DFT (GGA-PBE)

Peak list (6 most intense, 2θ = 10–90°, in order of falling intensity)
hkl 0 0 1, 2θ = 13.05°, intensity 100.0
hkl 0 0 2, 2θ = 26.28°, intensity 31.8
hkl 1 1 1, 2θ = 48.86°, intensity 27.6
hkl 1 0 1, 2θ = 35.31°, intensity 25.1
hkl 1 0 2, 2θ = 42.39°, intensity 23.8
hkl 1 0 3, 2θ = 52.46°, intensity 17.0

Structural model:
Cell lengths 2.742, 2.742, 6.783 Å; angles 90.00, 90.00, 90.00 degrees
Space group P4/mmm (No. 123)
Inequivalent atoms, fractional coordinates:
Nb  0.000  0.000  0.000 [1 per cell]
C  0.000  0.500  0.500 [2 per cell]
N  0.500  0.500  0.131 [2 per cell]

=====

Theoretical X-ray diffraction stick pattern
Compound: Mg4Nb3
Radiation: Cu Kα, 1.54184 Å
Structure: a structure optimized by DFT (GGA-PBE)

Peak list (6 most intense, 2θ = 10–90°, in order of falling intensity)
hkl 1 2 1, 2θ = 39.03°, intensity 100.0
hkl 1 0 1, 2θ = 21.90°, intensity 36.5
hkl 1 0 0, 2θ = 12.88°, intensity 35.2
hkl 1 2 0, 2θ = 34.53°, intensity 30.5
hkl 0 0 2, 2θ = 35.70°, intensity 29.5
hkl 1 2 2, 2θ = 50.51°, intensity 20.1

Structural model:
Cell lengths 7.9360, 7.9360, 5.0297 Å; angles 90.00, 90.00, 120.00 degrees
Space group P6_3/m (No. 176)
Inequivalent atoms, fractional coordinates:
Mg  0.0565  0.8076  0.2500 [6 per cell]
Mg  0.3333  0.6667  0.2500 [2 per cell]
Nb  0.1131  0.6225  0.7500 [6 per cell]

=====

Theoretical X-ray diffraction stick pattern
Compound: Cs2AgBiSe4
Radiation: Cu Kα, 1.54184 Å
Structure: a structure optimized by DFT (GGA-PBE)

Peak list (6 most intense, 2θ = 10–90°, in order of falling intensity)
hkl 1 3 5, 2θ = 29.84°, intensity 100.0
hkl 2 0 6, 2θ = 37.02°, intensity 98.7
hkl 1 3 3, 2θ = 25.34°, intensity 85.2
hkl 2 2 0, 2θ = 30.70°, intensity 69.6
hkl 0 2 6, 2θ = 26.12°, intensity 69.5
hkl 2 6 0, 2θ = 45.82°, intensity 59.3

Structural model:
Cell lengths 6.300, 15.277, 22.875 Å; angles 90.00, 90.00, 90.00 degrees
Space group Fddd (No. 70, origin choice 2)
Inequivalent atoms, fractional coordinates:
Cs  0.125  0.125  0.316 [16 per cell]
Ag  0.125  0.125  0.625 [8 per cell]
Bi  0.125  0.125  0.125 [8 per cell]
Se  0.122  0.271  0.804 [32 per cell]